1.
Starting from a PBE-relaxed structure, the powder X-ray diffraction pattern of Na2TlPCO7 was simulated for Cu Kα.

Main lines, in order of falling intensity (2θ = 10–90°):
Position (°2θ)  I (rel.)
15.96  100
25.74  99
21.17  87
32.33  68
19.45  57
25.58  57
41.64  41
36.61  35
34.10  34
23.19  32

Atomic structure:
```
Na2TlPCO7
1.0
5.2585 0.0000 0.0000
0.0000 6.9649 0.0000
-0.0034 0.0000 9.1929
Na Tl P C O
4 2 2 2 14
Direct
0.2273 0.0016 0.2831 Na
0.2273 0.4984 0.2831 Na
0.7727 0.5016 0.7169 Na
0.7727 0.9984 0.7169 Na
0.2335 0.2500 0.8682 Tl
0.7665 0.7500 0.1318 Tl
0.2843 0.7500 0.9161 P
0.7157 0.2500 0.0839 P
0.2701 0.2500 0.5701 C
0.7299 0.7500 0.4299 C
0.0475 0.2500 0.6341 O
0.1779 0.5715 0.8362 O
0.1779 0.9285 0.8362 O
0.2063 0.7500 0.0800 O
0.2967 0.2500 0.4332 O
0.4141 0.2500 0.0883 O
0.4711 0.2500 0.6584 O
0.5289 0.7500 0.3416 O
0.5859 0.7500 0.9117 O
0.7033 0.7500 0.5668 O
0.7937 0.2500 0.9200 O
0.8221 0.0715 0.1638 O
0.8221 0.4285 0.1638 O
0.9525 0.7500 0.3659 O
```

2.
Starting from a PBE-relaxed structure, the powder X-ray diffraction pattern of Rb2GaB5H8O14 was simulated for Cu Kα.

Main lines, in order of falling intensity (2θ = 10–90°):
Position (°2θ)  I (rel.)
25.75  100
17.76  92
13.93  71
29.61  55
26.68  53
29.88  44
43.84  43
28.43  42
20.90  36
30.55  34

Atomic structure:
```
Rb2GaB5H8O14
1.0
4.7927 -5.3524 0.0000
4.7927 5.3524 0.0000
0.0000 0.0000 13.9791
Rb Ga B H O
4 2 10 16 28
Direct
0.0843 0.6192 0.8437 Rb
0.3808 0.9157 0.6563 Rb
0.6192 0.0843 0.1563 Rb
0.9157 0.3808 0.3437 Rb
0.3722 0.3722 0.5000 Ga
0.6278 0.6278 0.0000 Ga
0.0634 0.2837 0.6313 B
0.2006 0.7994 0.2500 B
0.2585 0.6943 0.0818 B
0.2837 0.0634 0.3687 B
0.3057 0.7415 0.4182 B
0.6943 0.2585 0.9182 B
0.7163 0.9366 0.8687 B
0.7415 0.3057 0.5818 B
0.7994 0.2006 0.7500 B
0.9366 0.7163 0.1313 B
0.0893 0.2428 0.1056 H
0.1020 0.1414 0.2031 H
0.1414 0.1020 0.7969 H
0.2428 0.0893 0.8944 H
0.2557 0.3878 0.9838 H
0.3878 0.2557 0.0162 H
0.4353 0.4349 0.2837 H
0.4349 0.4353 0.7163 H
0.5651 0.5647 0.2163 H
0.5647 0.5651 0.7837 H
0.6122 0.7443 0.5162 H
0.7443 0.6122 0.4838 H
0.7572 0.9107 0.3944 H
0.8586 0.8980 0.2969 H
0.8980 0.8586 0.7031 H
0.9107 0.7572 0.6056 H
0.0007 0.2379 0.7225 O
0.0208 0.2186 0.1660 O
0.0651 0.6754 0.0606 O
0.2186 0.0208 0.8340 O
0.2379 0.0007 0.2775 O
0.2378 0.6776 0.3314 O
0.2497 0.2890 0.6108 O
0.2535 0.2535 0.0000 O
0.2890 0.2497 0.3892 O
0.3224 0.7622 0.1686 O
0.3246 0.9349 0.4394 O
0.3585 0.6292 0.4901 O
0.3708 0.6415 0.0099 O
0.4446 0.5554 0.7500 O
0.5554 0.4446 0.2500 O
0.6292 0.3585 0.5099 O
0.6415 0.3708 0.9901 O
0.6754 0.0651 0.9394 O
0.6776 0.2378 0.6686 O
0.7110 0.7503 0.8892 O
0.7465 0.7465 0.5000 O
0.7503 0.7110 0.1108 O
0.7622 0.3224 0.8314 O
0.7621 0.9993 0.7775 O
0.7814 0.9792 0.3340 O
0.9349 0.3246 0.5606 O
0.9792 0.7814 0.6660 O
0.9993 0.7621 0.2225 O
```

3.
Starting from a PBE-relaxed structure, the powder X-ray diffraction pattern of K3LuCl6 was simulated for Cu Kα.

Main lines, in order of falling intensity (2θ = 10–90°):
Position (°2θ)  I (rel.)
32.27  100
22.67  99
13.82  95
15.98  95
46.29  65
36.21  45
39.80  43
26.65  38
42.33  27
76.85  25

Atomic structure:
```
K3LuCl6
1.0
0.0000 5.5474 5.5474
5.5474 0.0000 5.5474
5.5474 5.5474 0.0000
K Lu Cl
3 1 6
Direct
0.0000 0.0000 0.0000 K
0.2500 0.2500 0.2500 K
0.7500 0.7500 0.7500 K
0.5000 0.5000 0.5000 Lu
0.2680 0.2680 0.7320 Cl
0.2680 0.7320 0.2680 Cl
0.2680 0.7320 0.7320 Cl
0.7320 0.2680 0.2680 Cl
0.7320 0.2680 0.7320 Cl
0.7320 0.7320 0.2680 Cl
```